# 1
Diffraction record for AcTb12In6. The PXRD pattern is simulated, not measured: it uses a GGA-PBE-relaxed structure and copper Kα.
Peak positions follow from Bragg's law for the DFT cell and can differ from measured ones.

Main lines, in order of falling intensity (2θ = 10–80°):
27.8°, I = 100.0; 26.7°, I = 46.1; 32.4°, I = 42.6; 40.6°, I = 41.5; 33.6°, I = 39.6; 34.8°, I = 26.8

Atomic structure:
Cell: 8.8948 8.8948 8.8948 Å, 103.05 103.05 103.05°
Element x y z (fractional)
Ac  0.0000  0.0000  0.0000
Tb  0.1225  0.5000  0.8775
Tb  0.1225  0.8775  0.5000
Tb  0.1801  0.4495  0.4495
Tb  0.4495  0.1801  0.4495
Tb  0.4495  0.4495  0.1801
Tb  0.5000  0.1225  0.8775
Tb  0.5000  0.8775  0.1225
Tb  0.5505  0.5505  0.8199
Tb  0.5505  0.8199  0.5505
Tb  0.8199  0.5505  0.5505
Tb  0.8775  0.1225  0.5000
Tb  0.8775  0.5000  0.1225
In  0.2417  0.2417  0.6998
In  0.2417  0.6998  0.2417
In  0.3002  0.7583  0.7583
In  0.6998  0.2417  0.2417
In  0.7583  0.3002  0.7583
In  0.7583  0.7583  0.3002


# 2
Diffraction record for Sm5PdPt2. The PXRD pattern is simulated, not measured: it uses a GGA-PBE-relaxed structure and copper Kα.
Peak positions follow from Bragg's law for the DFT cell and can differ from measured ones.

Main lines, in order of falling intensity (2θ = 10–80°):
32.3°, I = 100.0; 36.1°, I = 43.6; 13.1°, I = 18.8; 35.0°, I = 18.3; 67.4°, I = 17.3; 42.1°, I = 17.1

Atomic structure:
Cell: 8.7572 8.7572 8.7572 Å, 126.64 126.64 78.83°
Element x y z (fractional)
Sm  0.0000  0.0000  0.0000
Sm  0.0234  0.5234  0.8286
Sm  0.1948  0.0234  0.5000
Sm  0.3052  0.8052  0.8286
Sm  0.4766  0.3052  0.5000
Sm  0.5000  0.5000  0.0000
Sm  0.5234  0.6948  0.5000
Sm  0.6948  0.1948  0.1714
Sm  0.8052  0.9766  0.5000
Sm  0.9766  0.4766  0.1714
Pd  0.2500  0.2500  0.0000
Pd  0.7500  0.7500  0.0000
Pt  0.1335  0.3665  0.5000
Pt  0.3665  0.8665  0.2330
Pt  0.6335  0.1335  0.7670
Pt  0.8665  0.6335  0.5000


# 3
Diffraction record for TbPm2Pr6Mg. The PXRD pattern is simulated, not measured: it uses a GGA-PBE-relaxed structure and copper Kα.
Peak positions follow from Bragg's law for the DFT cell and can differ from measured ones.

Main lines, in order of falling intensity (2θ = 10–80°):
31.2°, I = 100.0; 29.2°, I = 77.6; 28.5°, I = 67.8; 31.1°, I = 61.5; 32.7°, I = 59.7; 29.8°, I = 57.4

Atomic structure:
Cell: 8.8145 8.8145 9.9853 Å, 95.66 95.66 115.11°
Element x y z (fractional)
Tb  0.0154  0.9846  0.7500
Tb  0.9846  0.0154  0.2500
Pm  0.1986  0.2866  0.5552
Pm  0.2866  0.1986  0.0552
Pm  0.7134  0.8014  0.9448
Pm  0.8014  0.7134  0.4448
Pr  0.0016  0.5726  0.6922
Pr  0.1191  0.7496  0.0507
Pr  0.2504  0.8809  0.4493
Pr  0.3026  0.4962  0.8869
Pr  0.4274  0.9984  0.8078
Pr  0.4962  0.3026  0.3869
Pr  0.5038  0.6974  0.6131
Pr  0.5726  0.0016  0.1922
Pr  0.6974  0.5038  0.1131
Pr  0.7496  0.1191  0.5507
Pr  0.8809  0.2504  0.9493
Pr  0.9984  0.4274  0.3078
Mg  0.4036  0.5964  0.2500
Mg  0.5964  0.4036  0.7500


# 4
Diffraction record for CsThOsO6. The PXRD pattern is simulated, not measured: it uses a GGA-PBE-relaxed structure and copper Kα.
Peak positions follow from Bragg's law for the DFT cell and can differ from measured ones.

Main lines, in order of falling intensity (2θ = 10–80°):
26.1°, I = 100.0; 27.3°, I = 76.1; 28.7°, I = 73.4; 27.1°, I = 72.2; 46.4°, I = 67.2; 26.5°, I = 47.1

Atomic structure:
Cell: 7.8378 7.8378 7.8378 Å, 122.64 117.00 90.38°
Element x y z (fractional)
Cs  0.3621  0.1121  0.2500
Cs  0.6379  0.8879  0.7500
Th  0.0000  0.5000  0.5000
Th  0.5000  0.5000  0.0000
Os  0.0000  0.0000  0.5000
Os  0.0000  0.5000  0.0000
O  0.0206  0.7706  0.2500
O  0.0430  0.3997  0.1827
O  0.0430  0.8603  0.6433
O  0.2830  0.1397  0.6827
O  0.2830  0.6003  0.1433
O  0.3307  0.5807  0.7500
O  0.6693  0.4193  0.2500
O  0.7170  0.3997  0.8567
O  0.7170  0.8603  0.3173
O  0.9570  0.1397  0.3567
O  0.9570  0.6003  0.8173
O  0.9794  0.2294  0.7500


# 5
Diffraction record for Nd2SbSe6. The PXRD pattern is simulated, not measured: it uses a GGA-PBE-relaxed structure and copper Kα.
Peak positions follow from Bragg's law for the DFT cell and can differ from measured ones.

Main lines, in order of falling intensity (2θ = 10–80°):
18.8°, I = 100.0; 36.5°, I = 95.5; 27.9°, I = 61.8; 45.8°, I = 57.6; 38.1°, I = 37.3; 24.5°, I = 31.2

Atomic structure:
Cell: 6.6872 6.6872 13.0125 Å, 90.00 90.00 90.00°
Element x y z (fractional)
Nd  0.0000  0.0000  0.1637
Nd  0.0000  0.0000  0.8363
Nd  0.5000  0.5000  0.3363
Nd  0.5000  0.5000  0.6637
Sb  0.0000  0.0000  0.5000
Sb  0.5000  0.5000  0.0000
Se  0.1879  0.1879  0.3449
Se  0.1879  0.1879  0.6551
Se  0.2127  0.2127  0.0000
Se  0.2873  0.7127  0.5000
Se  0.3121  0.6879  0.1551
Se  0.3121  0.6879  0.8449
Se  0.6879  0.3121  0.1551
Se  0.6879  0.3121  0.8449
Se  0.7127  0.2873  0.5000
Se  0.7873  0.7873  0.0000
Se  0.8121  0.8121  0.3449
Se  0.8121  0.8121  0.6551


# 6
Diffraction record for LiMnTlAu. The PXRD pattern is simulated, not measured: it uses a GGA-PBE-relaxed structure and copper Kα.
Peak positions follow from Bragg's law for the DFT cell and can differ from measured ones.

Main lines, in order of falling intensity (2θ = 10–80°):
38.9°, I = 100.0; 27.2°, I = 67.3; 70.3°, I = 35.1; 63.5°, I = 26.9; 48.1°, I = 20.0; 56.1°, I = 17.2

Atomic structure:
Cell: 4.6358 4.6358 4.6358 Å, 60.00 60.00 60.00°
Element x y z (fractional)
Li  0.0000  0.0000  0.0000
Mn  0.5000  0.5000  0.5000
Tl  0.7500  0.7500  0.7500
Au  0.2500  0.2500  0.2500